Calculated powder XRD pattern
Compound: Mo4N3
Radiation: λ = 1.5418 Å (Cu Kα)
Structure: DFT lattice parameters and positions (PBE)

Cell and atoms:
```
data_Mo4N3
_cell_length_a 2.8707
_cell_length_b 7.1261
_cell_length_c 7.5227
_cell_angle_alpha 90.00
_cell_angle_beta 90.00
_cell_angle_gamma 90.00
_space_group_name_H-M_alt 'I m m 2'
_space_group_IT_number 44
_space_group_name_Hall 'I 2 -2'
loop_
_atom_site_label
_atom_site_type_symbol
_atom_site_fract_x
_atom_site_fract_y
_atom_site_fract_z
Mo1 Mo 0.0000 0.0000 0.0000
Mo2 Mo 0.0000 0.0000 0.3495
Mo3 Mo 0.0000 0.2040 0.6723
N1 N 0.0000 0.3000 0.3872
N2 N 0.0000 0.5000 0.0623
```

Principal peaks in the range 2θ from 5° to 70°, in order of rising 2θ:
d [Å]	two_theta	intensity
2.663	33.66	74
2.587	34.68	86
2.365	38.04	57
2.265	39.80	48
2.143	42.17	100
1.889	48.18	84
1.782	51.28	18
1.663	55.23	20
1.646	55.87	50
1.435	64.97	18



Calculated powder XRD pattern
Compound: TbCo3C3
Radiation: λ = 1.5418 Å (Cu Kα)
Structure: DFT lattice parameters and positions (PBE)

Cell and atoms:
```
data_TbCo3C3
_cell_length_a 3.2959
_cell_length_b 3.2959
_cell_length_c 16.1047
_cell_angle_alpha 90.00
_cell_angle_beta 90.00
_cell_angle_gamma 120.00
_space_group_name_H-M_alt 'P 63/m m c'
_space_group_IT_number 194
_space_group_name_Hall '-P 6c 2c'
loop_
_atom_site_label
_atom_site_type_symbol
_atom_site_fract_x
_atom_site_fract_y
_atom_site_fract_z
Tb1 Tb 0.0000 0.0000 0.0000
Co1 Co 0.3333 0.6667 0.1384
Co2 Co 0.3333 0.6667 0.7500
C1 C 0.3333 0.6667 0.2500
C2 C 0.3333 0.6667 0.6090
```

Principal peaks in the range 2θ from 5° to 70°, in order of rising 2θ:
d [Å]	two_theta	intensity
8.052	10.99	20
2.690	33.31	100
2.520	35.62	13
2.329	38.67	54
2.136	42.31	23
2.013	45.03	19
1.955	46.44	26
1.648	55.78	34
1.405	66.56	18
1.403	66.68	16



Calculated powder XRD pattern
Compound: Li15Cd4
Radiation: λ = 1.5418 Å (Cu Kα)
Structure: DFT lattice parameters and positions (PBE)

Cell and atoms:
```
data_Li15Cd4
_cell_length_a 10.8014
_cell_length_b 10.8014
_cell_length_c 10.8014
_cell_angle_alpha 90.00
_cell_angle_beta 90.00
_cell_angle_gamma 90.00
_space_group_name_H-M_alt 'I -4 3 d'
_space_group_IT_number 220
_space_group_name_Hall 'I -4bd 2c 3'
loop_
_atom_site_label
_atom_site_type_symbol
_atom_site_fract_x
_atom_site_fract_y
_atom_site_fract_z
Li1 Li 0.0000 0.2500 0.3750
Li2 Li 0.0333 0.3909 0.1697
Cd1 Cd 0.0415 0.4585 0.5415
```

Principal peaks in the range 2θ from 5° to 70°, in order of rising 2θ:
d [Å]	two_theta	intensity
4.410	20.14	31
3.819	23.29	100
3.416	26.09	50
2.887	30.98	20
2.303	39.12	33
2.205	40.93	19
2.118	42.68	45
1.972	46.02	29
1.528	60.62	14
1.470	63.27	16